Starting from a GGA-PBE-relaxed structure, the XRD peak list of Pr8Ru3RhI4 was calculated for λ = 1.5418 Å (Cu Kα).
No peak broadening, texture or thermal motion is included.

The 8 most intense peaks (10 to 90 degrees two-theta), low angle first:
10.74 deg, intensity 11
28.53 deg, intensity 100
30.57 deg, intensity 14
38.28 deg, intensity 27
43.19 deg, intensity 38
52.58 deg, intensity 18
55.16 deg, intensity 11
70.32 deg, intensity 15

Structural model:
Unit cell a=9.550 b=9.550 c=9.550 alpha=52.04 beta=52.04 gamma=52.04
Fractional positions:
1 Pr 0.223 0.731 0.731
2 Pr 0.229 0.229 0.229
3 Pr 0.269 0.269 0.777
4 Pr 0.269 0.777 0.269
5 Pr 0.731 0.223 0.731
6 Pr 0.731 0.731 0.223
7 Pr 0.771 0.771 0.771
8 Pr 0.777 0.269 0.269
9 Ru 0.000 0.000 0.500
10 Ru 0.000 0.500 0.000
11 Ru 0.500 0.000 0.000
12 Rh 0.500 0.500 0.500
13 I 0.000 0.000 0.000
14 I 0.000 0.500 0.500
15 I 0.500 0.000 0.500
16 I 0.500 0.500 0.000